Calculated powder diffraction line list
Compound: Au4I3F
Radiation: Cu Kα
Structure: a structure optimized by DFT (GGA-PBE)
Kinematic intensities with the Lorentz-polarization factor, no thermal factor.

Most intense lines, 2θ from 5° to 70°, by angle:
Position (°2θ)  I (rel.)
13.8  100
24.6  39
27.9  21
28.7  63
30.4  48
35.0  32
36.5  41
43.5  54
45.3  23
50.4  39

Atomic structure:
abc: 6.034 6.415 12.796
angles: 90.00 90.00 90.00
Space group Cmm2 (No. 35)
Inequivalent atoms, fractional coordinates:
Au1 0.000 0.237 0.000 (multiplicity 4)
Au2 0.249 0.000 0.471 (multiplicity 4)
I1 0.000 0.000 0.642 (multiplicity 2)
I2 0.000 0.500 0.302 (multiplicity 2)
I3 0.000 0.500 0.849 (multiplicity 2)
F1 0.000 0.000 0.119 (multiplicity 2)